This entry pairs a crystal structure of KNpMnTe3 with its computed powder X-ray diffraction pattern. Radiation: Cu Kα (weighted mean of Kα1 and Kα2). Structure: DFT lattice parameters and positions (PBE).
Lines closer than 0.1° are merged.

Crystal structure
abc: 9.690 4.493 10.332
angles: 90.00 107.48 90.00
Space group P2_1/m (No. 11)
Unique sites:
K: 0.203 0.250 0.237 [2 per cell]
Np: 0.327 0.750 0.851 [2 per cell]
Mn: 0.082 0.250 0.594 [2 per cell]
Te: 0.106 0.250 0.861 [2 per cell]
Te: 0.212 0.750 0.531 [2 per cell]
Te: 0.458 0.750 0.165 [2 per cell]

Principal peaks in the range 10 to 80 degrees two-theta, in order of rising 2θ:
index	2theta	I/Imax
1 0 -1	10.98	100
1 1 0	22.00	18
0 0 3	27.15	37
2 1 -1	27.26	67
2 1 0	27.69	36
1 1 -3	32.80	21
2 1 2	36.40	18
0 2 0	40.14	21
2 1 -4	41.21	34
3 1 2	43.95	18